Structure and calculated XRD peak list of Na4WO4 (a structure optimized by DFT (GGA+U); CuKα).
Peak positions follow from Bragg's law for the DFT cell and can differ from measured ones.

Atomic structure:
a b c (Å): 5.703 5.703 5.703
angles (deg): 100.65 100.65 129.08
Fractional positions:
Na (0.093, 0.698, 0.791)
Na (0.302, 0.093, 0.395)
Na (0.698, 0.907, 0.605)
Na (0.907, 0.302, 0.209)
W (0.500, 0.500, 0.000)
O (0.248, 0.419, 0.667)
O (0.419, 0.752, 0.171)
O (0.581, 0.248, 0.829)
O (0.752, 0.581, 0.333)

Largest 10 diffraction maxima, in order of falling intensity, 2θ from 15° to 90°:
2θ/deg  intensity
21.9  100.0
33.0  75.3
17.2  57.8
39.1  38.5
54.7  28.1
36.7  23.0
24.4  22.5
67.0  20.3
48.8  17.9
69.3  17.1